# 1
ScBi: computed powder X-ray diffraction pattern (Cu Kα, 1.54184 Å), based on a GGA-PBE-relaxed structure.
No peak broadening, texture or thermal motion is included.

Cell and atoms:
Lattice parameters (Å, degrees): 5.1311 5.1311 5.9429 90.00 90.00 120.00
Space group P6_3/mmc (No. 194)
Symmetry-distinct sites (fractional):
1 Sc 0.3333 0.6667 0.2500 x2
2 Bi 0.3333 0.6667 0.7500 x2

Most intense lines, 2θ from 10° to 80°, sorted by position:
19.98°, intensity 72, hkl 1 0 0; 25.02°, intensity 100, hkl 1 0 1; 30.07°, intensity 35, hkl 0 0 2; 34.97°, intensity 71, hkl 1 1 0; 36.37°, intensity 32, hkl 1 0 2; 46.78°, intensity 63, hkl 1 1 2

# 2
LaCoSi3: computed powder X-ray diffraction pattern (Cu Kα, 1.54184 Å), based on a GGA-PBE-relaxed structure.
No peak broadening, texture or thermal motion is included.

Cell and atoms:
Lattice parameters (Å, degrees): 5.745 5.830 5.504 90.00 90.00 90.00
Space group Pmn2_1 (No. 31)
Symmetry-distinct sites (fractional):
1 La 0.000 0.126 0.000 x2
2 Co 0.000 0.605 0.266 x2
3 Si 0.000 0.794 0.603 x2
4 Si 0.247 0.363 0.458 x4

Most intense lines, 2θ from 10° to 80°, sorted by position:
22.37°, intensity 81, hkl 1 0 1; 27.16°, intensity 93, hkl 1 1 1; 34.50°, intensity 67, hkl 1 2 0; 34.83°, intensity 100, hkl 0 2 1; 38.58°, intensity 84, hkl 2 1 1; 48.39°, intensity 49, hkl 2 1 2